No. 1
Theoretical powder diffraction line list
Compound: Na2Ga5Au4
Radiation: Cu Kα (λ = 1.5418 Å)
Structure: a GGA-PBE-relaxed structure
Peak positions follow from Bragg's law for the DFT cell and can differ from measured ones.

Top 10 peaks for 10 to 90 degrees two-theta, sorted by position:
| 2θ/deg | d/Å | intensity |
| --- | --- | --- |
| 18.89 | 4.697 | 64 |
| 20.23 | 4.391 | 66 |
| 32.22 | 2.778 | 37 |
| 34.60 | 2.592 | 51 |
| 38.35 | 2.347 | 77 |
| 40.42 | 2.231 | 100 |
| 41.16 | 2.193 | 40 |
| 43.72 | 2.070 | 44 |
| 54.79 | 1.676 | 23 |
| 63.04 | 1.475 | 25 |

Cell and atoms:
```
Na2Ga5Au4
1.0
6.206 -2.779 0.000
6.206 2.779 0.000
-6.191 0.000 6.213
Na Ga Au
2 5 4
Cartesian
-1.235 0.000 1.245
7.454 0.000 4.968
2.136 1.417 2.133
4.084 1.417 4.080
6.206 0.000 0.000
2.136 -1.417 2.133
4.084 -1.417 4.080
3.643 0.000 0.407
0.418 0.000 3.652
5.802 0.000 2.561
2.576 0.000 5.806
```


No. 2
Theoretical powder diffraction line list
Compound: SrTeAsO6
Radiation: Cu Kα (λ = 1.5418 Å)
Structure: a GGA-PBE-relaxed structure
Peak positions follow from Bragg's law for the DFT cell and can differ from measured ones.

Top 10 peaks for 10 to 90 degrees two-theta, sorted by position:
| 2θ/deg | d/Å | intensity |
| --- | --- | --- |
| 16.35 | 5.422 | 27 |
| 25.47 | 3.497 | 100 |
| 33.05 | 2.711 | 9 |
| 33.93 | 2.642 | 36 |
| 37.88 | 2.375 | 14 |
| 42.90 | 2.108 | 21 |
| 48.09 | 1.892 | 47 |
| 54.60 | 1.681 | 10 |
| 55.79 | 1.648 | 22 |
| 60.72 | 1.525 | 13 |

Cell and atoms:
```
SrTeAsO6
1.0
5.284 0.000 0.000
-2.642 4.576 0.000
0.000 0.000 5.422
Sr Te As O
1 1 1 6
Cartesian
0.000 0.000 0.000
2.642 1.525 2.711
0.000 3.051 2.711
-0.901 1.805 3.804
-1.529 2.893 1.618
0.901 1.805 1.618
-0.628 4.454 3.804
1.529 2.893 3.804
0.628 4.454 1.618
```